For SrPr2Mn3O9, a cell relaxed with GGA+U gives the computed powder XRD pattern in this record (CuKα).
Kinematic intensities with the Lorentz-polarization factor, no thermal factor.

Atomic structure:
```
data_SrPr2Mn3O9
_cell_length_a 9.623
_cell_length_b 5.602
_cell_length_c 13.446
_cell_angle_alpha 90.00
_cell_angle_beta 90.36
_cell_angle_gamma 90.00
_symmetry_space_group_name_H-M 'C 1 2/c 1'
_symmetry_Int_Tables_number 15
_symmetry_space_group_name_Hall '-C 2yc'
loop_
_atom_site_label
_atom_site_fract_x
_atom_site_fract_y
_atom_site_fract_z
Sr1 0.000 0.007 0.250
Pr1 0.166 0.494 0.084
Mn1 0.000 0.000 0.000
Mn2 0.167 0.498 0.833
O1 0.000 0.442 0.750
O2 0.052 0.273 0.413
O3 0.118 0.235 0.928
O4 0.169 0.076 0.580
O5 0.227 0.250 0.241
```

Principal peaks in the range 10 to 80 degrees two-theta, by intensity:
- 2θ = 32.45°, rel. 100, (1 1 4)
- 2θ = 32.16°, rel. 66, (3 1 0)
- 2θ = 46.14°, rel. 43, (2 2 -4)
- 2θ = 31.95°, rel. 31, (0 2 0)
- 2θ = 46.56°, rel. 20, (4 0 4)
- 2θ = 22.61°, rel. 19, (1 1 -2)